# ErPaAsO2
Calculated XRD peak list, copper Kα. Input: a PBE-relaxed structure.
Intensities are scaled so that the largest is 1000.

Main lines, most intense first (2θ from 10° to 80°):
32.5 deg, rel. 1000; 33.4 deg, rel. 457; 59.1 deg, rel. 368; 24.6 deg, rel. 288; 45.3 deg, rel. 237; 48.0 deg, rel. 220; 57.4 deg, rel. 211; 59.0 deg, rel. 96; 29.7 deg, rel. 85; 79.4 deg, rel. 83; 79.5 deg, rel. 79; 54.7 deg, rel. 70

Crystal structure
```
ErPaAsO2
1.0
-1.896 1.896 6.016
1.896 -1.896 6.016
1.896 1.896 -6.016
Er Pa As O
1 1 1 2
Direct
0.000 0.000 0.000
0.709 0.709 0.000
0.350 0.350 0.000
0.104 0.604 0.500
0.604 0.104 0.500
```